[1]
Simulated powder diffraction line list
Compound: RbP4W8O32
Radiation: copper Kα
Structure: a structure optimized by DFT (GGA+U)

Cell and atoms:
```
RbP4W8O32
1.0
8.7662 -3.8650 0.0000
8.7662 3.8650 0.0000
-4.1290 0.0000 9.6023
Rb P W O
1 4 8 32
Direct
0.0000 0.0000 0.0000
0.1214 0.5234 0.8837
0.4766 0.8786 0.1163
0.5234 0.1214 0.8837
0.8786 0.4766 0.1163
0.1182 0.6196 0.5889
0.1424 0.6406 0.2405
0.3594 0.8576 0.7595
0.3804 0.8818 0.4111
0.6196 0.1182 0.5889
0.6406 0.1424 0.2405
0.8576 0.3594 0.7595
0.8818 0.3804 0.4111
0.0000 0.5000 0.5000
0.0438 0.4817 0.1523
0.1096 0.6201 0.7875
0.1225 0.1225 0.7809
0.1303 0.1303 0.4000
0.1302 0.6389 0.4180
0.1421 0.6229 0.0334
0.2337 0.7550 0.6959
0.2450 0.7663 0.3041
0.3043 0.3043 0.8657
0.3611 0.8698 0.5820
0.3732 0.3732 0.6010
0.3771 0.8579 0.9666
0.3799 0.8904 0.2125
0.3914 0.3914 0.2398
0.4817 0.0438 0.1523
0.5000 0.0000 0.5000
0.5183 0.9562 0.8477
0.6086 0.6086 0.7602
0.6201 0.1096 0.7875
0.6229 0.1421 0.0334
0.6268 0.6268 0.3990
0.6389 0.1302 0.4180
0.6957 0.6957 0.1343
0.7550 0.2337 0.6959
0.7663 0.2450 0.3041
0.8579 0.3771 0.9666
0.8698 0.3611 0.5820
0.8697 0.8697 0.6000
0.8775 0.8775 0.2191
0.8904 0.3799 0.2125
0.9562 0.5183 0.8477
```

Largest 10 diffraction maxima, most intense first, 2θ from 10° to 90°:
2theta, d [Å], I (rel.)
23.01, 3.865, 100
25.57, 3.483, 92
22.08, 4.027, 87
32.10, 2.788, 60
17.37, 5.105, 43
34.66, 2.588, 39
41.47, 2.177, 35
34.02, 2.635, 31
28.98, 3.081, 30
27.19, 3.280, 29

***

[2]
Simulated powder diffraction line list
Compound: Na4Mn2C4SO16
Radiation: copper Kα
Structure: a structure optimized by DFT (GGA+U)

Cell and atoms:
```
Na4Mn2C4SO16
1.0
9.8573 0.0000 0.0000
-0.1884 9.8594 0.0000
-4.8369 -4.8403 7.1979
Na Mn C S O
8 4 8 2 32
Direct
0.0000 0.0000 0.0000
0.9998 0.0029 0.5948
0.2556 0.7525 0.5105
0.2598 0.1817 0.5217
0.2638 0.7432 0.0936
0.4320 0.4336 0.4246
0.6667 0.1764 0.9271
0.6780 0.1758 0.5094
0.3471 0.5927 0.7673
0.8373 0.5873 0.2565
0.8392 0.0896 0.2581
0.8441 0.5896 0.7586
0.0546 0.3772 0.6902
0.0555 0.3759 0.3261
0.0638 0.7361 0.6968
0.6248 0.4427 0.8224
0.6303 0.8003 0.8255
0.6328 0.8053 0.1951
0.6994 0.3726 0.3271
0.9914 0.8111 0.1988
0.2161 0.2156 0.0095
0.4661 0.9660 0.5107
0.0016 0.7902 0.0665
0.0293 0.4981 0.7988
0.0316 0.1490 0.8861
0.0324 0.2290 0.2952
0.0430 0.7485 0.5658
0.1959 0.4002 0.7113
0.1982 0.4854 0.4567
0.1988 0.7254 0.8068
0.2739 0.1554 0.1355
0.2775 0.3978 0.1277
0.2798 0.1560 0.8892
0.4003 0.0254 0.6306
0.4017 0.7843 0.3910
0.4049 0.0308 0.3890
0.4826 0.4433 0.7065
0.4835 0.7739 0.7912
0.4919 0.6967 0.0627
0.6488 0.0319 0.6333
0.6489 0.4340 0.9556
0.6589 0.6800 0.7197
0.6585 0.9532 0.2309
0.6835 0.3886 0.4550
0.7061 0.2373 0.2148
0.7059 0.4951 0.3103
0.7402 0.9421 0.9558
0.7405 0.4424 0.7924
0.7545 0.7781 0.3031
0.9335 0.4027 0.2193
0.9447 0.2344 0.5641
0.9470 0.7403 0.7264
0.9880 0.6937 0.2249
0.9921 0.9524 0.3143
```

Largest 10 diffraction maxima, most intense first, 2θ from 10° to 90°:
2theta, d [Å], I (rel.)
10.87, 8.141, 100
20.98, 4.235, 89
18.00, 4.929, 70
21.27, 4.177, 65
10.94, 8.087, 63
32.40, 2.764, 61
20.87, 4.256, 60
33.02, 2.713, 58
36.46, 2.464, 52
35.87, 2.503, 51

***

[3]
Simulated powder diffraction line list
Compound: Li2Cr3FeO8
Radiation: copper Kα
Structure: a structure optimized by DFT (GGA+U)

Cell and atoms:
```
Li2Cr3FeO8
1.0
2.9694 1.7144 4.8244
-2.9694 1.7144 4.8244
0.0000 -3.4288 4.8244
Li Cr Fe O
2 3 1 8
Direct
0.1247 0.1247 0.1247
0.8753 0.8753 0.8753
0.0000 0.5000 0.5000
0.5000 0.0000 0.5000
0.5000 0.5000 0.0000
0.5000 0.5000 0.5000
0.2615 0.2615 0.7131
0.2615 0.7131 0.2615
0.2674 0.2674 0.2674
0.2869 0.7385 0.7385
0.7131 0.2615 0.2615
0.7326 0.7326 0.7326
0.7385 0.2869 0.7385
0.7385 0.7385 0.2869
```

Largest 10 diffraction maxima, most intense first, 2θ from 10° to 90°:
2theta, d [Å], I (rel.)
18.33, 4.841, 100
43.16, 2.096, 55
35.49, 2.530, 33
62.56, 1.485, 17
62.80, 1.480, 16
57.05, 1.614, 16
35.59, 2.523, 13
37.10, 2.423, 7
65.80, 1.419, 6
79.03, 1.212, 6

***

[4]
Simulated powder diffraction line list
Compound: Li11Ti8Fe5O32
Radiation: copper Kα
Structure: a structure optimized by DFT (GGA+U)

Cell and atoms:
```
Li11Ti8Fe5O32
1.0
8.3557 0.0000 0.0000
-0.0043 8.4219 0.0000
-0.0096 -0.0207 8.4389
Li Ti Fe O
11 8 5 32
Direct
0.0000 0.0000 0.0000
0.0016 0.4959 0.5037
0.1271 0.6224 0.8828
0.2509 0.2360 0.7576
0.3688 0.1171 0.1258
0.4969 0.9922 0.5057
0.5012 0.4958 0.0059
0.6276 0.3681 0.6296
0.7525 0.7424 0.7580
0.7603 0.2444 0.2549
0.8862 0.8659 0.3806
0.3762 0.6086 0.6427
0.3855 0.3589 0.3776
0.6222 0.1277 0.8826
0.6318 0.8816 0.1416
0.6415 0.6215 0.3903
0.8681 0.1123 0.6281
0.8682 0.6252 0.1238
0.8814 0.3724 0.8700
0.1257 0.1204 0.3801
0.1263 0.3650 0.1316
0.1303 0.8656 0.6320
0.2553 0.7389 0.2569
0.3792 0.8693 0.8786
0.1145 0.6042 0.1373
0.1157 0.3644 0.9113
0.1221 0.0954 0.6144
0.1251 0.1416 0.1495
0.1330 0.8779 0.3939
0.1347 0.3608 0.3603
0.1404 0.6461 0.6278
0.1492 0.8709 0.8568
0.3493 0.3705 0.1460
0.3521 0.1366 0.3796
0.3576 0.8561 0.6351
0.3653 0.3902 0.6113
0.3767 0.6416 0.8624
0.3832 0.6094 0.3878
0.3857 0.8640 0.1213
0.3943 0.0936 0.8798
0.6050 0.3848 0.3773
0.6076 0.6201 0.6105
0.6077 0.8776 0.8953
0.6238 0.8524 0.3607
0.6292 0.1005 0.1144
0.6422 0.6278 0.1428
0.6433 0.3478 0.8816
0.6479 0.1131 0.6428
0.8588 0.6182 0.3643
0.8632 0.8494 0.1260
0.8636 0.1274 0.8658
0.8765 0.5963 0.8973
0.8908 0.3476 0.6512
0.8991 0.3799 0.1203
0.9038 0.1150 0.3980
0.9076 0.8811 0.6333
```

Largest 10 diffraction maxima, most intense first, 2θ from 10° to 90°:
2theta, d [Å], I (rel.)
18.28, 4.853, 100
42.91, 2.108, 51
35.32, 2.541, 38
14.91, 5.943, 30
62.59, 1.484, 26
43.31, 2.089, 24
35.58, 2.523, 24
23.62, 3.767, 23
25.92, 3.438, 15
35.39, 2.536, 11

***

[5]
Simulated powder diffraction line list
Compound: SrMnO3
Radiation: copper Kα
Structure: a structure optimized by DFT (GGA+U)

Cell and atoms:
```
SrMnO3
1.0
5.5255 0.0000 0.0000
-2.7628 4.7852 0.0000
0.0000 0.0000 9.2924
Sr Mn O
4 4 12
Direct
0.0000 0.0000 0.0000
0.0000 0.0000 0.5000
0.3333 0.6667 0.2581
0.6667 0.3333 0.7581
0.3333 0.6667 0.6235
0.3333 0.6667 0.8976
0.6667 0.3333 0.1235
0.6667 0.3333 0.3976
0.0006 0.5003 0.5103
0.1810 0.3620 0.7609
0.1810 0.8190 0.7609
0.3620 0.1810 0.2609
0.5003 0.0006 0.0103
0.5003 0.4997 0.0103
0.4997 0.5003 0.5103
0.4997 0.9994 0.5103
0.6380 0.8190 0.7609
0.8190 0.1810 0.2609
0.8190 0.6380 0.2609
0.9994 0.4997 0.0103
```

Largest 10 diffraction maxima, most intense first, 2θ from 10° to 90°:
2theta, d [Å], I (rel.)
32.41, 2.763, 100
42.50, 2.127, 53
26.74, 3.333, 53
34.49, 2.600, 51
48.05, 1.894, 37
59.15, 1.562, 23
67.85, 1.381, 22
57.80, 1.595, 18
54.44, 1.685, 12
72.73, 1.300, 12

***

[6]
Simulated powder diffraction line list
Compound: Li9Mn2Co5O16
Radiation: copper Kα
Structure: a structure optimized by DFT (GGA+U)

Cell and atoms:
```
Li9Mn2Co5O16
1.0
5.0973 -2.9187 0.0000
5.0973 2.9187 0.0000
-1.6546 0.0000 9.7128
Li Mn Co O
9 2 5 16
Direct
0.0000 0.0000 0.0000
0.1225 0.1225 0.7653
0.2435 0.2435 0.5291
0.2483 0.7578 0.5237
0.4880 0.9956 0.0063
0.4967 0.4967 0.0058
0.7501 0.7501 0.5256
0.7578 0.2483 0.5237
0.9956 0.4880 0.0063
0.3722 0.3722 0.2649
0.6225 0.6225 0.7649
0.1228 0.6222 0.7649
0.3726 0.8719 0.2654
0.6222 0.1228 0.7649
0.8719 0.3726 0.2654
0.8722 0.8722 0.2642
0.0664 0.0664 0.3789
0.0740 0.5534 0.3778
0.1911 0.6711 0.1520
0.1958 0.1958 0.1510
0.3177 0.3177 0.8745
0.3233 0.7943 0.8785
0.4467 0.4467 0.6492
0.4522 0.9199 0.6510
0.5475 0.5475 0.3767
0.5534 0.0740 0.3778
0.6711 0.1911 0.1520
0.6789 0.6789 0.1535
0.7943 0.3233 0.8785
0.7988 0.7988 0.8819
0.9199 0.4522 0.6510
0.9272 0.9272 0.6537
```

Largest 10 diffraction maxima, most intense first, 2θ from 10° to 90°:
2theta, d [Å], I (rel.)
18.27, 4.856, 100
43.57, 2.077, 54
43.23, 2.093, 28
36.00, 2.494, 26
62.77, 1.480, 15
63.34, 1.468, 15
35.74, 2.512, 14
47.51, 1.914, 14
57.36, 1.606, 10
37.57, 2.394, 7